The following is a computed X-ray powder pattern of SmTa2VO8. It was derived from a cell relaxed with GGA+U, using λ = 1.5418 Å (Cu Kα).
Peak positions follow from Bragg's law for the DFT cell and can differ from measured ones.

Cell and atoms:
Cell: 4.9092 4.9092 6.4478 Å, 90.52 90.52 86.70°
Element x y z (fractional)
Sm 0.0000 0.0000 0.0000
Ta 0.4796 0.4796 0.7404
Ta 0.5204 0.5204 0.2596
V 0.0000 0.0000 0.5000
O 0.2053 0.7861 0.2785
O 0.2139 0.7947 0.7215
O 0.3129 0.3129 0.5009
O 0.3260 0.3260 0.9909
O 0.6740 0.6740 0.0091
O 0.6871 0.6871 0.4991
O 0.7861 0.2053 0.2785
O 0.7947 0.2139 0.7215

Main lines, in order of falling intensity (15° ≤ 2θ ≤ 90°):
| 2theta | I/Imax |
| --- | --- |
| 24.9 | 100 |
| 26.4 | 85 |
| 33.1 | 77 |
| 33.4 | 74 |
| 36.7 | 45 |
| 51.1 | 42 |
| 18.1 | 34 |
| 49.2 | 34 |
| 49.8 | 33 |
| 64.1 | 29 |